(1)
BaMg2V6Cu8O26: theoretical XRD peak list (a wavelength of 1.5418 Å), based on DFT lattice parameters and positions (PBE+U).

Largest 10 diffraction maxima, sorted by position, 10° ≤ 2θ ≤ 90°:
d_spacing, 2θ/deg, Rel. int.
3.594, 24.8, 39
3.092, 28.9, 50
3.040, 29.4, 45
2.792, 32.1, 87
2.775, 32.3, 42
2.646, 33.9, 100
2.576, 34.8, 48
2.352, 38.3, 40
2.017, 44.9, 42
1.520, 60.9, 36

Crystal structure
abc: 8.410 6.080 10.893
angles: 90.00 98.14 90.00
Atoms (fractional coordinates):
Ba 0.000 0.000 0.000
Mg 0.317 0.500 0.046
Mg 0.704 0.000 0.761
V 0.045 0.000 0.623
V 0.335 0.000 0.286
V 0.386 0.000 0.914
V 0.652 0.500 0.909
V 0.695 0.500 0.539
V 0.983 0.500 0.204
Cu 0.116 0.500 0.524
Cu 0.370 0.500 0.354
Cu 0.408 0.250 0.641
Cu 0.408 0.750 0.641
Cu 0.619 0.250 0.181
Cu 0.619 0.750 0.181
Cu 0.657 0.000 0.470
Cu 0.912 0.000 0.310
O 0.085 0.500 0.080
O 0.129 0.500 0.338
O 0.131 0.000 0.278
O 0.175 0.228 0.630
O 0.175 0.772 0.630
O 0.270 0.224 0.941
O 0.270 0.776 0.941
O 0.356 0.500 0.533
O 0.390 0.250 0.212
O 0.390 0.750 0.212
O 0.422 0.000 0.440
O 0.453 0.000 0.752
O 0.486 0.500 0.802
O 0.549 0.000 0.024
O 0.574 0.500 0.069
O 0.606 0.500 0.385
O 0.638 0.247 0.612
O 0.638 0.753 0.612
O 0.671 0.000 0.291
O 0.756 0.261 0.888
O 0.756 0.739 0.888
O 0.856 0.264 0.188
O 0.856 0.736 0.188
O 0.895 0.500 0.536
O 0.896 0.000 0.488
O 0.943 0.000 0.748

=====

(2)
Ba2MgCuWO6: theoretical XRD peak list (a wavelength of 1.5418 Å), based on DFT lattice parameters and positions (PBE+U).

Largest 10 diffraction maxima, sorted by position, 10° ≤ 2θ ≤ 90°:
d_spacing, 2θ/deg, Rel. int.
5.142, 17.2, 74
3.421, 26.1, 77
3.160, 28.2, 63
3.072, 29.1, 79
2.916, 30.7, 100
2.204, 40.9, 34
2.189, 41.2, 26
2.049, 44.2, 27
1.809, 50.5, 30
1.536, 60.2, 27

Crystal structure
abc: 6.672 6.672 5.869
angles: 112.62 112.62 108.73
Atoms (fractional coordinates):
Ba 0.178 0.822 0.000
Ba 0.822 0.178 0.000
Mg 0.500 0.500 0.000
Cu 0.500 0.500 0.500
W 0.000 0.000 0.500
O 0.181 0.819 0.500
O 0.222 0.222 0.964
O 0.284 0.284 0.547
O 0.716 0.716 0.453
O 0.778 0.778 0.036
O 0.819 0.181 0.500